# Sm2NbCu3Ni12
Theoretical X-ray powder pattern, Cu Kα X-rays. Input: DFT lattice parameters and positions (PBE).
Kinematic intensities with the Lorentz-polarization factor, no thermal factor.

Structural model:
```
Sm2NbCu3Ni12
1.0
3.0281 1.7483 8.5131
-3.0281 1.7483 8.5131
0.0000 -3.4966 8.5131
Sm Nb Cu Ni
2 1 3 12
Cartesian
0.0000 0.0000 3.8034
0.0000 0.0000 21.7357
0.0000 0.0000 12.7696
-1.5141 -0.8741 8.5131
-1.5140 0.8741 17.0261
0.0000 1.7483 8.5130
0.0000 -2.1484 7.2712
-1.8606 1.0742 7.2712
-1.3496 -0.7792 10.9499
-1.8606 -1.0742 18.2680
0.0000 -1.5583 14.5892
-1.3496 0.7792 14.5892
1.3496 -0.7792 10.9499
0.0000 1.5583 10.9499
1.8606 1.0742 7.2712
1.3496 0.7792 14.5892
1.8606 -1.0742 18.2680
0.0000 2.1484 18.2680
```

Peak list (10 most intense, 15° ≤ 2θ ≤ 90°, low angle first)
- 31.35°, d = 2.853 Å, intensity 100
- 34.93°, d = 2.569 Å, intensity 27
- 36.41°, d = 2.467 Å, intensity 46
- 37.06°, d = 2.426 Å, intensity 41
- 39.24°, d = 2.296 Å, intensity 39
- 42.58°, d = 2.123 Å, intensity 39
- 44.72°, d = 2.026 Å, intensity 45
- 46.35°, d = 1.959 Å, intensity 27
- 53.51°, d = 1.713 Å, intensity 28
- 61.22°, d = 1.514 Å, intensity 39


# CaSm2Ho2
Theoretical X-ray powder pattern, Cu Kα X-rays. Input: DFT lattice parameters and positions (PBE).
Kinematic intensities with the Lorentz-polarization factor, no thermal factor.

Structural model:
```
CaSm2Ho2
1.0
5.5495 0.0000 0.0000
0.0000 17.4903 0.0000
0.0000 0.0000 3.5494
Ca Sm Ho
2 4 4
Cartesian
0.0000 0.0000 0.0000
2.7747 8.7452 0.0000
0.0000 6.6247 1.7747
0.0000 10.8657 1.7747
2.7747 2.1205 1.7747
2.7747 15.3698 1.7747
0.0000 3.5179 0.0000
0.0000 13.9725 0.0000
2.7747 5.2273 0.0000
2.7747 12.2630 0.0000
```

Peak list (10 most intense, 15° ≤ 2θ ≤ 90°, low angle first)
- 30.20°, d = 2.959 Å, intensity 100
- 30.33°, d = 2.947 Å, intensity 70
- 32.26°, d = 2.775 Å, intensity 51
- 32.49°, d = 2.756 Å, intensity 46
- 33.69°, d = 2.661 Å, intensity 70
- 39.57°, d = 2.277 Å, intensity 26
- 46.44°, d = 1.955 Å, intensity 34
- 56.29°, d = 1.634 Å, intensity 29
- 59.83°, d = 1.546 Å, intensity 20
- 60.86°, d = 1.522 Å, intensity 27